Entry 1:
The following is a calculated X-ray powder pattern of Rb2TeW3O12. It was derived from a PBE+U-relaxed structure, using Cu Kα X-rays.
No peak broadening, texture or thermal motion is included.

Structure:
abc: 7.4072 7.4072 12.4951
angles: 90.00 90.00 120.00
Space group P31c (No. 159)
Unique sites:
Rb: 0.3333 0.6667 0.0000 (multiplicity 2)
Rb: 0.3333 0.6667 0.3784 (multiplicity 2)
Te: 0.0000 0.0000 0.4366 (multiplicity 2)
W: 0.1458 0.3383 0.6746 (multiplicity 6)
O: 0.0883 0.5484 0.6376 (multiplicity 6)
O: 0.1204 0.8733 0.1840 (multiplicity 6)
O: 0.1299 0.8662 0.5084 (multiplicity 6)
O: 0.1921 0.3885 0.8135 (multiplicity 6)

Peak list (10 most intense, 10° ≤ 2θ ≤ 90°, sorted by position)
2θ 14.18, intensity 43
2θ 15.53, intensity 28
2θ 25.50, intensity 37
2θ 28.01, intensity 80
2θ 28.58, intensity 29
2θ 28.74, intensity 100
2θ 31.35, intensity 26
2θ 46.04, intensity 32
2θ 49.20, intensity 32
2θ 57.93, intensity 32

Entry 2:
The following is a calculated X-ray powder pattern of MnGaFeO4. It was derived from a PBE+U-relaxed structure, using Cu Kα X-rays.
No peak broadening, texture or thermal motion is included.

Structure:
abc: 6.102 6.122 8.661
angles: 90.00 90.00 90.00
Space group Imma (No. 74)
Unique sites:
Mn: 0.000 0.250 0.126 (multiplicity 4)
Ga: 0.250 0.250 0.750 (multiplicity 4)
Fe: 0.000 0.000 0.500 (multiplicity 4)
O: 0.000 0.030 0.738 (multiplicity 8)
O: 0.224 0.250 0.516 (multiplicity 8)

Peak list (10 most intense, 10° ≤ 2θ ≤ 90°, sorted by position)
2θ 17.75, intensity 22
2θ 29.20, intensity 26
2θ 34.39, intensity 100
2θ 35.97, intensity 13
2θ 41.77, intensity 25
2θ 55.14, intensity 27
2θ 55.25, intensity 12
2θ 60.53, intensity 39
2θ 60.71, intensity 8
2θ 86.32, intensity 9

Entry 3:
The following is a calculated X-ray powder pattern of Li2VF6. It was derived from a PBE+U-relaxed structure, using Cu Kα X-rays.
No peak broadening, texture or thermal motion is included.

Structure:
abc: 15.210 8.709 4.530
angles: 90.00 90.38 90.00
Space group C2 (No. 5)
Unique sites:
Li: 0.000 0.000 0.000 (multiplicity 2)
Li: 0.000 0.310 0.000 (multiplicity 2)
Li: 0.172 0.485 0.002 (multiplicity 4)
Li: 0.172 0.825 0.002 (multiplicity 4)
V: 0.000 0.656 0.000 (multiplicity 2)
V: 0.167 0.155 0.497 (multiplicity 4)
F: 0.053 0.495 0.214 (multiplicity 4)
F: 0.053 0.815 0.214 (multiplicity 4)
F: 0.063 0.155 0.249 (multiplicity 4)
F: 0.106 0.655 0.788 (multiplicity 4)
F: 0.116 0.005 0.736 (multiplicity 4)
F: 0.116 0.305 0.736 (multiplicity 4)
F: 0.218 0.003 0.254 (multiplicity 4)
F: 0.218 0.307 0.254 (multiplicity 4)
F: 0.231 0.655 0.259 (multiplicity 4)

Peak list (10 most intense, 10° ≤ 2θ ≤ 90°, sorted by position)
2θ 20.27, intensity 100
2θ 20.40, intensity 52
2θ 22.83, intensity 57
2θ 22.92, intensity 57
2θ 40.67, intensity 19
2θ 40.93, intensity 81
2θ 41.05, intensity 36
2θ 54.38, intensity 20
2θ 54.56, intensity 37
2θ 63.72, intensity 28